Diffraction record for CaMg6Ga. The powder diffractogram is computed, not measured: it uses a DFT-relaxed cell (GGA-PBE, the Materials Project) and a wavelength of 1.5418 Å.

Atomic structure:
```
CaMg6Ga
1.0
5.093 0.000 0.000
0.000 3.309 5.667
0.000 -3.309 5.667
Ca Mg Ga
1 6 1
direct
0.000 0.000 0.000
0.000 0.003 0.488
0.000 0.488 0.003
0.000 0.491 0.491
0.500 0.167 0.644
0.500 0.644 0.167
0.500 0.660 0.660
0.500 0.162 0.162
```

The 10 most intense peaks (2θ from 10° to 80°), by intensity:
- 2θ = 36.04°, I = 100
- 2θ = 36.28°, I = 53
- 2θ = 35.25°, I = 36
- 2θ = 31.30°, I = 28
- 2θ = 15.50°, I = 27
- 2θ = 67.98°, I = 19
- 2θ = 56.06°, I = 19
- 2θ = 23.44°, I = 18
- 2θ = 63.77°, I = 17
- 2θ = 47.85°, I = 16